For KRbVF6, a structure optimized by DFT (GGA+U) gives the theoretical PXRD pattern in this record (Cu Kα X-rays).

a = 4.8072 Å, b = 5.9039 Å, c = 5.9217 Å
α = 60.32°, β = 89.79°, γ = 89.91°
Fractional positions:
K 0.0000 0.0000 0.0000
Rb 0.4057 0.3356 0.3253
V 0.7063 0.6677 0.6633
F 0.4864 0.8251 0.8091
F 0.4907 0.3612 0.8108
F 0.4951 0.8222 0.3498
F 0.9200 0.5149 0.9747
F 0.9240 0.9724 0.5170
F 0.9277 0.5107 0.5189

Peak list (6 most intense, 10° ≤ 2θ ≤ 80°, in order of falling intensity)
(1 1 1), 25.4 deg, I = 100; (1 2 0), 39.8 deg, I = 52; (0 1 2), 30.2 deg, I = 34; (1 0 2), 39.7 deg, I = 28; (-1 2 2), 40.0 deg, I = 25; (2 2 2), 52.2 deg, I = 19